The following is a theoretical X-ray diffraction stick pattern of LaB3O6. It was derived from a cell relaxed with GGA-PBE, using Cu Kα X-rays.
Kinematic intensities with the Lorentz-polarization factor, no thermal factor.

Structure:
```
data_LaB3O6
_cell_length_a 4.276
_cell_length_b 11.832
_cell_length_c 7.351
_cell_angle_alpha 90.00
_cell_angle_beta 91.24
_cell_angle_gamma 90.00
_symmetry_space_group_name_H-M 'P 1 21/c 1'
_symmetry_Int_Tables_number 14
loop_
_symmetry_equiv_pos_as_xyz
'x,y,z'
'-x,-y,-z'
'-x,y+1/2,-z+1/2'
'x,-y+1/2,z+1/2'
loop_
_atom_site_label
_atom_site_type_symbol
_atom_site_fract_x
_atom_site_fract_y
_atom_site_fract_z
La1 La 0.217 0.123 0.381
B1 B 0.196 0.094 0.874
B2 B 0.310 0.622 0.427
B3 B 0.323 0.666 0.788
O1 O 0.151 0.628 0.610
O2 O 0.203 0.524 0.319
O3 O 0.220 0.715 0.306
O4 O 0.250 0.591 0.937
O5 O 0.334 0.168 0.737
O6 O 0.351 0.120 0.047
```

Most intense lines, 10 to 90 degrees two-theta, by angle:
(hkl)  Position (°2θ)  d/Å  I (rel.)
0 1 1  14.19  6.243  65
0 2 1  19.26  4.608  78
0 1 2  25.42  3.504  88
1 2 -1  28.28  3.156  79
0 4 0  30.21  2.958  100
1 0 -2  31.76  2.817  69
1 0 2  32.47  2.757  64
0 3 2  33.35  2.686  76

The following is a theoretical X-ray diffraction stick pattern of K6ReP2. It was derived from a cell relaxed with GGA-PBE, using Cu Kα X-rays.
Kinematic intensities with the Lorentz-polarization factor, no thermal factor.

Structure:
```
data_K6ReP2
_cell_length_a 9.5007
_cell_length_b 9.5007
_cell_length_c 4.7213
_cell_angle_alpha 90.00
_cell_angle_beta 90.00
_cell_angle_gamma 120.00
_symmetry_space_group_name_H-M 'P -3 m 1'
_symmetry_Int_Tables_number 164
_symmetry_space_group_name_Hall '-P 3 2"'
loop_
_atom_site_label
_atom_site_type_symbol
_atom_site_fract_x
_atom_site_fract_y
_atom_site_fract_z
K1 K 0.2017 0.4034 0.2375
Re1 Re 0.0000 0.0000 0.5000
P1 P 0.3333 0.6667 0.7397
```

Most intense lines, 10 to 90 degrees two-theta, by angle:
(hkl)  Position (°2θ)  d/Å  I (rel.)
1 0 0  10.75  8.228  45
1 1 0  18.68  4.750  33
1 0 1  21.70  4.095  43
1 1 1  26.62  3.349  26
2 0 1  28.75  3.106  100
1 2 1  34.54  2.597  23
0 3 1  37.91  2.373  38
0 2 2  44.24  2.047  18